Theoretical PXRD pattern
Compound: Hf5CuSb3
Radiation: CuKα
Structure: a structure optimized by DFT (GGA-PBE)

Structural model:
abc: 8.5750 8.5750 5.7589
angles: 90.00 90.00 120.00
Space group P6_3/mcm (No. 193)
One atom of each set of equivalent atoms:
Hf 0.0000 0.2652 0.2500
Hf 0.3333 0.6667 0.0000
Cu 0.0000 0.0000 0.0000
Sb 0.0000 0.3853 0.7500

Largest 10 diffraction maxima, most intense first, 10 to 80 degrees two-theta:
2θ = 37.63°, rel. 100, hkl 1 1 2
2θ = 36.29°, rel. 80, hkl 3 0 0
2θ = 35.58°, rel. 75, hkl 2 1 1
2θ = 53.27°, rel. 28, hkl 2 2 2
2θ = 58.23°, rel. 18, hkl 2 1 3
2θ = 76.55°, rel. 18, hkl 3 0 4
2θ = 31.88°, rel. 16, hkl 2 1 0
2θ = 56.31°, rel. 15, hkl 3 2 1
2θ = 66.17°, rel. 12, hkl 4 1 2
2θ = 46.85°, rel. 12, hkl 3 1 1